Calculated PXRD pattern of Ti5CoSe10 for Cu Kα (λ = 1.5418 Å), from a crystal structure in the Materials Project, relaxed with GGA-PBE.

Structure:
a b c (Å): 6.149 7.017 8.626
angles (deg): 107.12 110.85 90.01
Sites, in units of the cell vectors:
Ti 0.000 0.000 0.000
Ti 0.205 0.399 0.399
Ti 0.397 0.798 0.798
Ti 0.603 0.202 0.202
Ti 0.795 0.601 0.601
Co 0.500 0.500 0.000
Se 0.016 0.952 0.699
Se 0.185 0.444 0.703
Se 0.215 0.355 0.096
Se 0.386 0.844 0.104
Se 0.416 0.753 0.499
Se 0.584 0.247 0.501
Se 0.614 0.156 0.896
Se 0.785 0.645 0.904
Se 0.815 0.556 0.297
Se 0.984 0.048 0.301

Most intense lines, 2θ = 15–90°, sorted by position:
Position (°2θ), I/Imax
29.5, 11
32.7, 100
41.9, 47
51.5, 31
54.4, 21
60.5, 8
62.4, 15
68.5, 10
84.1, 9
85.1, 8

---

Calculated PXRD pattern of Ti2N2O for Cu Kα (λ = 1.5418 Å), from a crystal structure in the Materials Project, relaxed with GGA-PBE.

Structure:
a b c (Å): 8.206 8.229 8.232
angles (deg): 109.52 109.45 109.35
Sites, in units of the cell vectors:
Ti 0.000 0.000 0.000
Ti 0.011 0.499 0.488
Ti 0.038 0.737 0.287
Ti 0.213 0.443 0.243
Ti 0.241 0.289 0.533
Ti 0.267 0.797 0.052
Ti 0.293 0.038 0.744
Ti 0.466 0.251 0.210
Ti 0.489 0.482 0.997
Ti 0.520 0.009 0.514
Ti 0.539 0.746 0.789
Ti 0.706 0.959 0.255
Ti 0.751 0.208 0.950
Ti 0.756 0.709 0.467
Ti 0.805 0.554 0.768
Ti 0.960 0.244 0.703
N 0.011 0.227 0.957
N 0.042 0.772 0.550
N 0.229 0.262 0.772
N 0.236 0.218 0.273
N 0.277 0.545 0.542
N 0.452 0.724 0.990
N 0.462 0.509 0.234
N 0.496 0.948 0.725
N 0.511 0.046 0.274
N 0.551 0.271 0.011
N 0.726 0.274 0.732
N 0.737 0.957 0.508
N 0.768 0.770 0.724
N 0.953 0.460 0.224
N 0.961 0.222 0.446
N 0.993 0.761 0.039
O 0.047 0.538 0.771
O 0.229 0.988 0.950
O 0.267 0.034 0.490
O 0.275 0.724 0.263
O 0.547 0.490 0.768
O 0.726 0.446 0.457
O 0.779 0.731 0.224
O 0.780 0.005 0.050

Most intense lines, 2θ = 15–90°, sorted by position:
Position (°2θ), I/Imax
22.9, 30
32.6, 100
32.7, 33
37.9, 18
40.3, 8
44.7, 13
48.9, 12
54.6, 26
54.7, 27
65.1, 15

---

Calculated PXRD pattern of YSF for Cu Kα (λ = 1.5418 Å), from a crystal structure in the Materials Project, relaxed with GGA-PBE.

Structure:
a b c (Å): 4.078 4.078 16.818
angles (deg): 90.00 90.00 120.00
Sites, in units of the cell vectors:
Y 0.000 0.000 0.000
Y 0.000 0.000 0.500
Y 0.333 0.667 0.250
Y 0.667 0.333 0.750
S 0.333 0.667 0.086
S 0.333 0.667 0.414
S 0.667 0.333 0.586
S 0.667 0.333 0.914
F 0.000 0.000 0.250
F 0.000 0.000 0.750
F 0.333 0.667 0.750
F 0.667 0.333 0.250

Most intense lines, 2θ = 15–90°, sorted by position:
Position (°2θ), I/Imax
21.1, 91
25.8, 81
27.4, 100
33.1, 27
36.9, 28
41.1, 68
44.4, 86
49.7, 52
63.6, 26
83.7, 27

---

Calculated PXRD pattern of Li2MgBi for Cu Kα (λ = 1.5418 Å), from a crystal structure in the Materials Project, relaxed with GGA-PBE.

Structure:
a b c (Å): 7.121 7.121 7.121
angles (deg): 90.00 90.00 90.00
Sites, in units of the cell vectors:
Li 0.000 0.000 0.000
Li 0.000 0.500 0.500
Li 0.250 0.250 0.250
Li 0.250 0.750 0.750
Li 0.500 0.000 0.500
Li 0.500 0.500 0.000
Li 0.750 0.250 0.750
Li 0.750 0.750 0.250
Mg 0.250 0.250 0.750
Mg 0.250 0.750 0.250
Mg 0.750 0.250 0.250
Mg 0.750 0.750 0.750
Bi 0.000 0.000 0.500
Bi 0.000 0.500 0.000
Bi 0.500 0.000 0.000
Bi 0.500 0.500 0.500

Most intense lines, 2θ = 15–90°, sorted by position:
Position (°2θ), I/Imax
21.6, 100
25.0, 42
35.7, 63
42.1, 56
44.1, 13
56.3, 24
57.9, 18
64.1, 23
68.5, 18
79.7, 19

---

Calculated PXRD pattern of EuC2S2N2 for Cu Kα (λ = 1.5418 Å), from a crystal structure in the Materials Project, relaxed with GGA-PBE.

Structure:
a b c (Å): 6.044 6.044 8.121
angles (deg): 91.00 91.00 64.45
Sites, in units of the cell vectors:
Eu 0.088 0.912 0.750
Eu 0.912 0.088 0.250
C 0.248 0.513 0.398
C 0.487 0.752 0.102
C 0.513 0.248 0.898
C 0.752 0.487 0.602
S 0.235 0.360 0.827
S 0.360 0.235 0.327
S 0.640 0.765 0.673
S 0.765 0.640 0.173
N 0.162 0.719 0.450
N 0.281 0.838 0.050
N 0.719 0.162 0.950
N 0.838 0.281 0.550

Most intense lines, 2θ = 15–90°, sorted by position:
Position (°2θ), I/Imax
16.3, 100
17.3, 57
19.5, 40
21.9, 63
27.2, 91
29.7, 84
34.6, 45
34.8, 43
37.5, 38
44.5, 44

---

Calculated PXRD pattern of SrH2I2O for Cu Kα (λ = 1.5418 Å), from a crystal structure in the Materials Project, relaxed with GGA-PBE.

Structure:
a b c (Å): 12.690 4.556 9.818
angles (deg): 90.00 90.00 90.00
Sites, in units of the cell vectors:
Sr 0.198 0.250 0.122
Sr 0.302 0.750 0.622
Sr 0.698 0.250 0.378
Sr 0.802 0.750 0.878
H 0.125 0.250 0.685
H 0.151 0.250 0.530
H 0.349 0.750 0.030
H 0.375 0.750 0.185
H 0.625 0.250 0.815
H 0.651 0.250 0.970
H 0.849 0.750 0.470
H 0.875 0.750 0.315
I 0.103 0.750 0.890
I 0.108 0.750 0.357
I 0.392 0.250 0.857
I 0.397 0.250 0.390
I 0.603 0.750 0.610
I 0.608 0.750 0.143
I 0.892 0.250 0.643
I 0.897 0.250 0.110
O 0.184 0.250 0.620
O 0.316 0.750 0.120
O 0.684 0.250 0.880
O 0.816 0.750 0.380

Most intense lines, 2θ = 15–90°, sorted by position:
Position (°2θ), I/Imax
24.0, 40
27.6, 100
27.8, 71
28.1, 19
34.2, 39
34.5, 32
36.6, 26
39.6, 26
47.4, 16
49.1, 29

---

Calculated PXRD pattern of BeO2 for Cu Kα (λ = 1.5418 Å), from a crystal structure in the Materials Project, relaxed with GGA-PBE.

Structure:
a b c (Å): 3.714 4.821 6.305
angles (deg): 90.00 90.00 90.00
Sites, in units of the cell vectors:
Be 0.153 0.176 0.352
Be 0.347 0.824 0.852
Be 0.653 0.324 0.648
Be 0.847 0.676 0.148
O 0.021 0.156 0.601
O 0.177 0.865 0.252
O 0.323 0.135 0.752
O 0.479 0.844 0.101
O 0.521 0.344 0.399
O 0.677 0.635 0.748
O 0.823 0.365 0.248
O 0.979 0.656 0.899

Most intense lines, 2θ = 15–90°, sorted by position:
Position (°2θ), I/Imax
23.2, 100
28.3, 24
30.4, 39
33.6, 46
40.0, 41
42.0, 31
49.9, 18
55.0, 10
64.9, 9
79.5, 11

---

Calculated PXRD pattern of Ho6MnTe2 for Cu Kα (λ = 1.5418 Å), from a crystal structure in the Materials Project, relaxed with GGA-PBE.

Structure:
a b c (Å): 4.082 8.270 8.270
angles (deg): 120.09 90.00 90.00
Sites, in units of the cell vectors:
Ho 0.000 0.000 0.000
Ho 0.000 0.525 0.763
Ho 0.000 0.763 0.525
Ho 0.500 0.156 0.762
Ho 0.500 0.368 0.368
Ho 0.500 0.762 0.156
Mn 0.500 0.762 0.762
Te 0.000 0.096 0.429
Te 0.000 0.429 0.096

Most intense lines, 2θ = 15–90°, sorted by position:
Position (°2θ), I/Imax
30.8, 100
33.1, 62
33.3, 54
37.7, 27
40.0, 27
44.4, 20
51.2, 16
56.5, 27
59.6, 14
60.8, 23

---

Calculated PXRD pattern of Nd2InCuS5 for Cu Kα (λ = 1.5418 Å), from a crystal structure in the Materials Project, relaxed with GGA-PBE.

Structure:
a b c (Å): 11.553 3.902 16.744
angles (deg): 90.00 90.00 90.00
Sites, in units of the cell vectors:
Nd 0.023 0.250 0.180
Nd 0.136 0.750 0.594
Nd 0.364 0.250 0.094
Nd 0.477 0.750 0.680
Nd 0.523 0.250 0.320
Nd 0.636 0.750 0.906
Nd 0.864 0.250 0.406
Nd 0.977 0.750 0.820
In 0.194 0.750 0.361
In 0.306 0.250 0.861
In 0.694 0.750 0.139
In 0.806 0.250 0.639
Cu 0.083 0.750 0.996
Cu 0.417 0.250 0.496
Cu 0.583 0.750 0.504
Cu 0.917 0.250 0.004
S 0.015 0.250 0.694
S 0.098 0.250 0.921
S 0.109 0.250 0.463
S 0.182 0.750 0.113
S 0.241 0.750 0.770
S 0.259 0.250 0.270
S 0.318 0.250 0.613
S 0.391 0.750 0.963
S 0.402 0.750 0.421
S 0.485 0.750 0.194
S 0.515 0.250 0.806
S 0.598 0.250 0.579
S 0.609 0.250 0.037
S 0.682 0.750 0.387
S 0.741 0.750 0.730
S 0.759 0.250 0.230
S 0.818 0.250 0.887
S 0.891 0.750 0.537
S 0.902 0.750 0.079
S 0.985 0.750 0.306

Most intense lines, 2θ = 15–90°, sorted by position:
Position (°2θ), I/Imax
23.7, 46
27.6, 33
27.7, 35
28.1, 53
29.0, 37
32.3, 100
32.8, 38
38.7, 49
46.5, 40
47.0, 32